Theoretical powder X-ray diffraction pattern of Pm4ZnRh4 for Cu Kα (weighted mean of Kα1 and Kα2), from a cell relaxed with GGA-PBE.
Lines closer than 0.1° are merged.

The 12 most intense peaks (10° ≤ 2θ ≤ 90°), most intense first:
2θ (°)  Rel. int.  h k l
33.04  100  3 1 0
39.71  56  2 1 2
33.49  53  1 0 2
50.22  35  3 2 2
54.88  27  1 4 2
47.43  21  2 4 0
29.47  16  2 2 0
67.60  15  5 2 2
28.15  15  1 2 1
76.17  15  3 1 4
36.79  11  1 3 1
20.72  8  2 0 0

Atomic structure:
Lattice parameters (Å, degrees): 8.5724 8.5724 5.6338 90.00 90.00 90.00
Space group P4_2/n (No. 86, origin choice 2)
Symmetry-distinct sites (fractional):
1 Pm 0.0424 0.8162 0.1146 [8 per cell]
2 Zn 0.2500 0.2500 0.2500 [2 per cell]
3 Rh 0.0010 0.8605 0.6126 [8 per cell]